Entry 1:
RbEuHg: computed powder XRD pattern (λ = 1.5418 Å (Cu Kα)), based on a DFT-relaxed cell (PBE, Alexandria).

Principal peaks in the range 5° ≤ 2θ ≤ 70°, by intensity:
2θ = 27.6°, I 100
2θ = 11.4°, I 68
2θ = 30.5°, I 59
2θ = 36.2°, I 40
2θ = 52.5°, I 34
2θ = 58.0°, I 25
2θ = 32.7°, I 25
2θ = 43.7°, I 22
2θ = 46.6°, I 18
2θ = 65.8°, I 13

Structure:
Unit cell a=4.1436 b=4.1436 c=15.4720 alpha=90.00 beta=90.00 gamma=90.00
Fractional positions:
Rb  0.0000  0.0000  0.0000
Rb  0.5000  0.5000  0.5000
Eu  0.0000  0.0000  0.2636
Eu  0.5000  0.5000  0.7636
Hg  0.0000  0.0000  0.6665
Hg  0.5000  0.5000  0.1665

Entry 2:
LaTm7Cd4: computed powder XRD pattern (λ = 1.5418 Å (Cu Kα)), based on a DFT-relaxed cell (PBE, Alexandria).

Principal peaks in the range 5° ≤ 2θ ≤ 70°, by intensity:
2θ = 31.5°, I 100
2θ = 35.5°, I 72
2θ = 30.8°, I 55
2θ = 30.1°, I 48
2θ = 32.3°, I 43
2θ = 44.2°, I 34
2θ = 32.0°, I 30
2θ = 33.7°, I 24
2θ = 28.8°, I 24
2θ = 45.5°, I 23

Structure:
Unit cell a=7.8322 b=7.8322 c=9.6234 alpha=119.50 beta=119.50 gamma=42.49
Fractional positions:
La  0.0000  0.0000  0.0000
Tm  0.0729  0.0729  0.4167
Tm  0.2071  0.2071  0.8800
Tm  0.2639  0.2639  0.3085
Tm  0.5000  0.5000  0.0000
Tm  0.7361  0.7361  0.6915
Tm  0.7929  0.7929  0.1200
Tm  0.9271  0.9271  0.5833
Cd  0.3180  0.3180  0.6609
Cd  0.4585  0.4585  0.2877
Cd  0.5415  0.5415  0.7123
Cd  0.6820  0.6820  0.3391